No. 1
Diffraction record for CsMgPO4. The X-ray diffraction stick pattern is calculated, not measured: it uses a crystal structure in the Materials Project, relaxed with GGA-PBE and λ = 1.5418 Å (Cu Kα).
No peak broadening, texture or thermal motion is included.

Largest 12 diffraction maxima, by angle, 5 to 70 degrees two-theta:
2θ/deg  d [Å]  intensity
18.22  4.870  22
25.97  3.431  61
26.67  3.342  38
26.88  3.317  100
28.79  3.101  21
31.48  2.842  22
32.00  2.797  24
39.79  2.265  13
43.58  2.077  15
50.38  1.811  19
53.98  1.699  14
57.99  1.590  14

Cell and atoms:
a b c (Å): 9.0612 5.5936 9.8996
angles (deg): 90.00 90.00 90.00
Element x y z (fractional)
Cs 0.0019 0.2500 0.1955
Cs 0.4981 0.7500 0.6955
Cs 0.5019 0.2500 0.3045
Cs 0.9981 0.7500 0.8045
Mg 0.1768 0.2500 0.5813
Mg 0.3232 0.7500 0.0813
Mg 0.6768 0.2500 0.9187
Mg 0.8232 0.7500 0.4187
P 0.2055 0.7500 0.4150
P 0.2945 0.2500 0.9150
P 0.7055 0.7500 0.0850
P 0.7945 0.2500 0.5850
O 0.0354 0.7500 0.4148
O 0.2352 0.0245 0.9896
O 0.2352 0.4755 0.9896
O 0.2362 0.2500 0.7685
O 0.2638 0.7500 0.2685
O 0.2648 0.5245 0.4896
O 0.2648 0.9755 0.4896
O 0.4646 0.2500 0.9148
O 0.5354 0.7500 0.0852
O 0.7352 0.0245 0.5104
O 0.7352 0.4755 0.5104
O 0.7362 0.2500 0.7315
O 0.7638 0.7500 0.2315
O 0.7648 0.5245 0.0104
O 0.7648 0.9755 0.0104
O 0.9646 0.2500 0.5852


No. 2
Diffraction record for Sr4MgTi3O10. The X-ray diffraction stick pattern is calculated, not measured: it uses a crystal structure in the Materials Project, relaxed with GGA-PBE and λ = 1.5418 Å (Cu Kα).
No peak broadening, texture or thermal motion is included.

Largest 12 diffraction maxima, by angle, 5 to 70 degrees two-theta:
2θ/deg  d [Å]  intensity
5.57  15.878  35
26.70  3.339  14
30.11  2.968  36
32.25  2.775  63
34.17  2.624  100
39.62  2.275  45
45.71  1.985  18
46.26  1.963  53
57.05  1.614  15
58.75  1.572  39
67.07  1.396  21
67.50  1.388  15

Cell and atoms:
a b c (Å): 16.1192 16.1192 16.1192
angles (deg): 166.01 166.01 19.83
Element x y z (fractional)
Sr 0.0585 0.0585 0.0000
Sr 0.1812 0.1812 0.0000
Sr 0.8188 0.8188 0.0000
Sr 0.9415 0.9415 0.0000
Mg 0.2500 0.7500 0.5000
Ti 0.3766 0.3766 0.0000
Ti 0.5000 0.5000 0.0000
Ti 0.6234 0.6234 0.0000
O 0.0002 0.5002 0.5000
O 0.1334 0.6334 0.5000
O 0.2792 0.2792 0.0000
O 0.3666 0.8666 0.5000
O 0.4349 0.4349 0.0000
O 0.4998 0.9998 0.5000
O 0.5651 0.5651 0.0000
O 0.6316 0.1316 0.5000
O 0.7208 0.7208 0.0000
O 0.8684 0.3684 0.5000